# 1
Diffraction record for U6Co12Ge4C. The X-ray diffraction stick pattern is simulated, not measured: it uses DFT lattice parameters and positions (PBE) and copper Kα.

Largest 10 diffraction maxima, sorted by position, 10° ≤ 2θ ≤ 90°:
two_theta, I_rel
25.13, 44
32.62, 47
35.83, 85
38.81, 33
41.61, 37
44.26, 100
58.21, 40
66.38, 19
72.18, 32
81.47, 24

Cell and atoms:
```
data_U6Co12Ge4C
_cell_length_a 7.5184
_cell_length_b 7.5184
_cell_length_c 7.5184
_cell_angle_alpha 109.47
_cell_angle_beta 109.47
_cell_angle_gamma 109.47
_space_group_name_H-M_alt 'P 1'
_space_group_IT_number 1
loop_
_space_group_symop_operation_xyz
'x,y,z'
loop_
_atom_site_label
_atom_site_type_symbol
_atom_site_fract_x
_atom_site_fract_y
_atom_site_fract_z
U1 U 0.0000 0.2793 0.2793
U2 U 0.0000 0.7207 0.7207
U3 U 0.2793 0.0000 0.2793
U4 U 0.2793 0.2793 0.0000
U5 U 0.7207 0.0000 0.7207
U6 U 0.7207 0.7207 0.0000
Co1 Co 0.0000 0.3511 0.6489
Co2 Co 0.0000 0.6489 0.3511
Co3 Co 0.2979 0.6489 0.6489
Co4 Co 0.3511 0.0000 0.6489
Co5 Co 0.3511 0.3511 0.7021
Co6 Co 0.3511 0.6489 0.0000
Co7 Co 0.3511 0.7021 0.3511
Co8 Co 0.6489 0.0000 0.3511
Co9 Co 0.6489 0.2979 0.6489
Co10 Co 0.6489 0.3511 0.0000
Co11 Co 0.6489 0.6489 0.2979
Co12 Co 0.7021 0.3511 0.3511
Ge1 Ge 0.0000 0.0000 0.5000
Ge2 Ge 0.0000 0.5000 0.0000
Ge3 Ge 0.5000 0.0000 0.0000
Ge4 Ge 0.5000 0.5000 0.5000
C1 C 0.0000 0.0000 0.0000
```


# 2
Diffraction record for CoH2C2N4. The X-ray diffraction stick pattern is simulated, not measured: it uses DFT lattice parameters and positions (PBE) and copper Kα.

Largest 10 diffraction maxima, sorted by position, 10° ≤ 2θ ≤ 90°:
two_theta, I_rel
16.76, 100
20.54, 21
30.40, 45
32.15, 11
33.87, 20
39.92, 45
41.77, 13
50.24, 15
54.10, 13
67.29, 11

Cell and atoms:
```
data_CoH2C2N4
_cell_length_a 6.6872
_cell_length_b 8.6484
_cell_length_c 3.2739
_cell_angle_alpha 90.00
_cell_angle_beta 90.00
_cell_angle_gamma 90.00
_space_group_name_H-M_alt 'P 1'
_space_group_IT_number 1
loop_
_space_group_symop_operation_xyz
'x,y,z'
loop_
_atom_site_label
_atom_site_type_symbol
_atom_site_fract_x
_atom_site_fract_y
_atom_site_fract_z
Co1 Co 0.0000 0.0000 0.0000
Co2 Co 0.5000 0.5000 0.5000
H1 H 0.2025 0.4336 0.0000
H2 H 0.2975 0.9336 0.5000
H3 H 0.7025 0.0664 0.5000
H4 H 0.7975 0.5664 0.0000
C1 C 0.1734 0.6593 0.0000
C2 C 0.3266 0.1593 0.5000
C3 C 0.6734 0.8407 0.5000
C4 C 0.8266 0.3407 0.0000
N1 N 0.0855 0.7782 0.0000
N2 N 0.2175 0.0347 0.5000
N3 N 0.2825 0.5347 0.0000
N4 N 0.4145 0.2782 0.5000
N5 N 0.5855 0.7218 0.5000
N6 N 0.7175 0.4653 0.0000
N7 N 0.7825 0.9653 0.5000
N8 N 0.9145 0.2218 0.0000
```


# 3
Diffraction record for RbCoH24C14N8. The X-ray diffraction stick pattern is simulated, not measured: it uses DFT lattice parameters and positions (PBE) and copper Kα.

Largest 10 diffraction maxima, sorted by position, 10° ≤ 2θ ≤ 90°:
two_theta, I_rel
14.03, 30
19.89, 54
20.08, 100
28.28, 41
28.82, 19
31.16, 21
31.70, 26
31.82, 16
32.19, 20
40.82, 19

Cell and atoms:
```
data_RbCoH24C14N8
_cell_length_a 8.8447
_cell_length_b 8.8447
_cell_length_c 8.8447
_cell_angle_alpha 119.39
_cell_angle_beta 119.39
_cell_angle_gamma 91.06
_space_group_name_H-M_alt 'P 1'
_space_group_IT_number 1
loop_
_space_group_symop_operation_xyz
'x,y,z'
loop_
_atom_site_label
_atom_site_type_symbol
_atom_site_fract_x
_atom_site_fract_y
_atom_site_fract_z
Rb1 Rb 0.0000 0.0000 0.0000
Co1 Co 0.5000 0.5000 0.0000
H1 H 0.0134 0.2137 0.5971
H2 H 0.0544 0.6989 0.5611
H3 H 0.0634 0.7443 0.2233
H4 H 0.1378 0.4933 0.4389
H5 H 0.1599 0.9366 0.6810
H6 H 0.2137 0.6166 0.2002
H7 H 0.2557 0.4789 0.3190
H8 H 0.3011 0.8622 0.3555
H9 H 0.3834 0.5836 0.5971
H10 H 0.4164 0.0134 0.7998
H11 H 0.4789 0.1599 0.2233
H12 H 0.4932 0.0544 0.3555
H13 H 0.5068 0.9456 0.6445
H14 H 0.5211 0.8401 0.7767
H15 H 0.5836 0.9866 0.2002
H16 H 0.6166 0.4164 0.4029
H17 H 0.6989 0.1378 0.6445
H18 H 0.7443 0.5211 0.6810
H19 H 0.7863 0.3834 0.7998
H20 H 0.8401 0.0634 0.3190
H21 H 0.8622 0.5068 0.5611
H22 H 0.9366 0.2557 0.7767
H23 H 0.9456 0.3011 0.4389
H24 H 0.9866 0.7863 0.4029
C1 C 0.1021 0.7963 0.5392
C2 C 0.2037 0.7429 0.3058
C3 C 0.2571 0.5629 0.4608
C4 C 0.3315 0.6279 0.9594
C5 C 0.3485 0.3485 0.0000
C6 C 0.3721 0.3315 0.7036
C7 C 0.4371 0.8979 0.6942
C8 C 0.5629 0.1021 0.3058
C9 C 0.6279 0.6685 0.2964
C10 C 0.6515 0.6515 0.0000
C11 C 0.6685 0.3721 0.0406
C12 C 0.7429 0.4371 0.5392
C13 C 0.7963 0.2571 0.6942
C14 C 0.8979 0.2037 0.4608
N1 N 0.2280 0.7091 0.9371
N2 N 0.2500 0.7500 0.5000
N3 N 0.2537 0.2537 0.0000
N4 N 0.2909 0.2280 0.5189
N5 N 0.7091 0.7720 0.4811
N6 N 0.7463 0.7463 0.0000
N7 N 0.7500 0.2500 0.5000
N8 N 0.7720 0.2909 0.0629
```


# 4
Diffraction record for CoHgC4Se4N4. The X-ray diffraction stick pattern is simulated, not measured: it uses DFT lattice parameters and positions (PBE) and copper Kα.

Largest 10 diffraction maxima, sorted by position, 10° ≤ 2θ ≤ 90°:
two_theta, I_rel
11.00, 62
15.58, 42
18.58, 23
24.34, 100
29.03, 35
33.10, 30
35.28, 21
36.78, 17
42.58, 39
43.32, 29

Cell and atoms:
```
data_CoHgC4Se4N4
_cell_length_a 8.4644
_cell_length_b 8.4644
_cell_length_c 8.4644
_cell_angle_alpha 95.54
_cell_angle_beta 95.54
_cell_angle_gamma 143.79
_space_group_name_H-M_alt 'P 1'
_space_group_IT_number 1
loop_
_space_group_symop_operation_xyz
'x,y,z'
loop_
_atom_site_label
_atom_site_type_symbol
_atom_site_fract_x
_atom_site_fract_y
_atom_site_fract_z
Co1 Co 0.0000 0.0000 0.0000
Hg1 Hg 0.2500 0.7500 0.5000
C1 C 0.2829 0.5557 0.1513
C2 C 0.4045 0.1316 0.8487
C3 C 0.4443 0.5955 0.7272
C4 C 0.8684 0.7171 0.2728
Se1 Se 0.1181 0.3485 0.5661
Se2 Se 0.4481 0.8819 0.2304
Se3 Se 0.6515 0.2176 0.7696
Se4 Se 0.7824 0.5519 0.4339
N1 N 0.1756 0.3441 0.0948
N2 N 0.2493 0.0808 0.9052
N3 N 0.6559 0.7507 0.8315
N4 N 0.9192 0.8244 0.1685
```


# 5
Diffraction record for HoCoC. The X-ray diffraction stick pattern is simulated, not measured: it uses DFT lattice parameters and positions (PBE) and copper Kα.

Largest 10 diffraction maxima, sorted by position, 10° ≤ 2θ ≤ 90°:
two_theta, I_rel
24.62, 26
26.03, 9
35.10, 49
36.13, 100
44.21, 14
50.48, 21
53.54, 9
63.64, 37
65.64, 16
76.66, 12

Cell and atoms:
```
data_HoCoC
_cell_length_a 3.6161
_cell_length_b 3.6161
_cell_length_c 6.8467
_cell_angle_alpha 90.00
_cell_angle_beta 90.00
_cell_angle_gamma 90.00
_space_group_name_H-M_alt 'P 1'
_space_group_IT_number 1
loop_
_space_group_symop_operation_xyz
'x,y,z'
loop_
_atom_site_label
_atom_site_type_symbol
_atom_site_fract_x
_atom_site_fract_y
_atom_site_fract_z
Ho1 Ho 0.0000 0.0000 0.2500
Ho2 Ho 0.0000 0.0000 0.7500
Co1 Co 0.5000 0.5000 0.0000
Co2 Co 0.5000 0.5000 0.5000
C1 C 0.0000 0.5000 0.0000
C2 C 0.5000 0.0000 0.5000
```


# 6
Diffraction record for HoCoC2. The X-ray diffraction stick pattern is simulated, not measured: it uses DFT lattice parameters and positions (PBE) and copper Kα.

Largest 10 diffraction maxima, sorted by position, 10° ≤ 2θ ≤ 90°:
two_theta, I_rel
24.74, 36
29.86, 22
35.57, 100
39.43, 26
40.04, 18
50.01, 19
50.74, 13
57.45, 15
69.84, 13
74.74, 11

Cell and atoms:
```
data_HoCoC2
_cell_length_a 3.5398
_cell_length_b 4.5041
_cell_length_c 5.9845
_cell_angle_alpha 90.00
_cell_angle_beta 90.00
_cell_angle_gamma 90.00
_space_group_name_H-M_alt 'P 1'
_space_group_IT_number 1
loop_
_space_group_symop_operation_xyz
'x,y,z'
loop_
_atom_site_label
_atom_site_type_symbol
_atom_site_fract_x
_atom_site_fract_y
_atom_site_fract_z
Ho1 Ho 0.0000 0.0000 0.0000
Ho2 Ho 0.0000 0.5000 0.5000
Co1 Co 0.5000 0.0000 0.3831
Co2 Co 0.5000 0.5000 0.8831
C1 C 0.5000 0.1532 0.6938
C2 C 0.5000 0.3468 0.1938
C3 C 0.5000 0.6532 0.1938
C4 C 0.5000 0.8468 0.6938
```